Record 1
Diffraction record for YMn4Si2. The powder X-ray diffraction pattern is theoretical, not measured: it uses a structure optimized by DFT (GGA-PBE) and Cu Kα, 1.54184 Å.

Atomic structure:
```
data_YMn4Si2
_symmetry_space_group_name_H-M 'C m m m'
_symmetry_Int_Tables_number 65
_symmetry_space_group_name_Hall '-C 2 2'
_cell_length_a 3.8887
_cell_length_b 13.0106
_cell_length_c 3.8646
_cell_angle_alpha 90.00
_cell_angle_beta 90.00
_cell_angle_gamma 90.00
loop_
_atom_site_label
_atom_site_type_symbol
_atom_site_fract_x
_atom_site_fract_y
_atom_site_fract_z
Y1 Y 0.0000 0.0000 0.0000
Mn1 Mn 0.0000 0.2004 0.5000
Mn2 Mn 0.0000 0.2990 0.0000
Si1 Si 0.0000 0.4054 0.5000
```

The 10 most intense peaks (2θ from 10° to 90°), in order of falling intensity:
- 2θ 38.9, I = 1000, hkl 1 3 1
- 2θ 46.7, I = 296, hkl 2 0 0
- 2θ 47.0, I = 290, hkl 0 0 2
- 2θ 13.6, I = 275, hkl 0 2 0
- 2θ 48.2, I = 273, hkl 1 5 1
- 2θ 60.1, I = 230, hkl 1 7 1
- 2θ 68.5, I = 175, hkl 2 0 2
- 2θ 36.1, I = 165, hkl 0 4 1
- 2θ 30.9, I = 149, hkl 1 3 0
- 2θ 27.4, I = 146, hkl 0 4 0

Record 2
Diffraction record for Yb2Mn3Si5. The powder X-ray diffraction pattern is theoretical, not measured: it uses a structure optimized by DFT (GGA-PBE) and Cu Kα, 1.54184 Å.

Atomic structure:
```
data_Yb2Mn3Si5
_symmetry_space_group_name_H-M 'P 4/m n c'
_symmetry_Int_Tables_number 128
_symmetry_space_group_name_Hall '-P 4 2n'
_cell_length_a 10.5456
_cell_length_b 10.5456
_cell_length_c 5.4357
_cell_angle_alpha 90.00
_cell_angle_beta 90.00
_cell_angle_gamma 90.00
loop_
_atom_site_label
_atom_site_type_symbol
_atom_site_fract_x
_atom_site_fract_y
_atom_site_fract_z
Yb1 Yb 0.0725 0.2372 0.0000
Mn1 Mn 0.0000 0.5000 0.2500
Mn2 Mn 0.1160 0.8603 0.5000
Si1 Si 0.0000 0.0000 0.2368
Si2 Si 0.0243 0.3174 0.5000
Si3 Si 0.1769 0.6769 0.2500
```

The 10 most intense peaks (2θ from 10° to 90°), in order of falling intensity:
- 2θ 31.5, I = 1000, hkl 3 1 1
- 2θ 38.2, I = 525, hkl 4 2 0
- 2θ 38.9, I = 507, hkl 4 1 1
- 2θ 41.1, I = 496, hkl 2 2 2
- 2θ 35.1, I = 376, hkl 4 1 0
- 2θ 25.0, I = 333, hkl 2 1 1
- 2θ 33.0, I = 254, hkl 0 0 2
- 2θ 53.4, I = 244, hkl 5 3 1
- 2θ 18.8, I = 207, hkl 2 1 0
- 2θ 57.9, I = 184, hkl 3 1 3

Record 3
Diffraction record for SmMnTc. The powder X-ray diffraction pattern is theoretical, not measured: it uses a structure optimized by DFT (GGA-PBE) and Cu Kα, 1.54184 Å.

Atomic structure:
```
data_SmMnTc
_symmetry_space_group_name_H-M 'C m c m'
_symmetry_Int_Tables_number 63
_symmetry_space_group_name_Hall '-C 2c 2'
_cell_length_a 5.0902
_cell_length_b 8.3094
_cell_length_c 5.5156
_cell_angle_alpha 90.00
_cell_angle_beta 90.00
_cell_angle_gamma 90.00
loop_
_atom_site_label
_atom_site_type_symbol
_atom_site_fract_x
_atom_site_fract_y
_atom_site_fract_z
Sm1 Sm 0.0000 0.1421 0.2500
Mn1 Mn 0.0000 0.2111 0.7500
Tc1 Tc 0.0000 0.5000 0.0000
```

The 10 most intense peaks (2θ from 10° to 90°), in order of falling intensity:
- 2θ 38.7, I = 1000, hkl 1 1 2
- 2θ 36.9, I = 972, hkl 1 3 0
- 2θ 35.3, I = 701, hkl 2 0 0
- 2θ 26.9, I = 432, hkl 0 2 1
- 2θ 39.2, I = 367, hkl 0 2 2
- 2θ 53.7, I = 285, hkl 2 2 2
- 2θ 26.1, I = 242, hkl 1 1 1
- 2θ 40.5, I = 237, hkl 1 3 1
- 2θ 44.9, I = 221, hkl 2 2 1
- 2θ 65.6, I = 206, hkl 3 1 2

Record 4
Diffraction record for SmU2Mn9. The powder X-ray diffraction pattern is theoretical, not measured: it uses a structure optimized by DFT (GGA-PBE) and Cu Kα, 1.54184 Å.

Atomic structure:
```
data_SmU2Mn9
_symmetry_space_group_name_H-M 'P 4/m b m'
_symmetry_Int_Tables_number 127
_symmetry_space_group_name_Hall '-P 4 2ab'
_cell_length_a 8.1836
_cell_length_b 8.1836
_cell_length_c 5.2735
_cell_angle_alpha 90.00
_cell_angle_beta 90.00
_cell_angle_gamma 90.00
loop_
_atom_site_label
_atom_site_type_symbol
_atom_site_fract_x
_atom_site_fract_y
_atom_site_fract_z
Sm1 Sm 0.0000 0.0000 0.0000
U1 U 0.1128 0.3872 0.0000
Mn1 Mn 0.0000 0.5000 0.5000
Mn2 Mn 0.0684 0.2086 0.5000
Mn3 Mn 0.1844 0.6844 0.2516
```

The 10 most intense peaks (2θ from 10° to 90°), in order of falling intensity:
- 2θ 38.8, I = 1000, hkl 3 1 1
- 2θ 42.2, I = 971, hkl 2 1 2
- 2θ 43.4, I = 881, hkl 3 2 1
- 2θ 29.7, I = 543, hkl 2 1 1
- 2θ 16.8, I = 446, hkl 0 0 1
- 2θ 34.0, I = 384, hkl 0 0 2
- 2θ 40.7, I = 347, hkl 2 0 2
- 2θ 24.3, I = 313, hkl 2 1 0
- 2θ 68.4, I = 307, hkl 5 1 2
- 2θ 34.7, I = 294, hkl 3 1 0

Record 5
Diffraction record for SmMnV. The powder X-ray diffraction pattern is theoretical, not measured: it uses a structure optimized by DFT (GGA-PBE) and Cu Kα, 1.54184 Å.

Atomic structure:
```
data_SmMnV
_symmetry_space_group_name_H-M 'P 62 2 2'
_symmetry_Int_Tables_number 180
_symmetry_space_group_name_Hall 'P 62 2 (0 0 4)'
_cell_length_a 6.1918
_cell_length_b 6.1918
_cell_length_c 10.9199
_cell_angle_alpha 90.00
_cell_angle_beta 90.00
_cell_angle_gamma 120.00
loop_
_atom_site_label
_atom_site_type_symbol
_atom_site_fract_x
_atom_site_fract_y
_atom_site_fract_z
Sm1 Sm 0.0000 0.0000 0.0000
Sm2 Sm 0.0000 0.5000 0.1667
Mn1 Mn 0.2420 0.6210 0.6667
V1 V 0.0000 0.5000 0.4819
```

The 10 most intense peaks (2θ from 10° to 90°), in order of falling intensity:
- 2θ 38.2, I = 1000, hkl 1 1 3
- 2θ 33.4, I = 962, hkl 2 0 0
- 2θ 29.7, I = 624, hkl 1 0 3
- 2θ 51.6, I = 323, hkl 2 1 3
- 2θ 61.6, I = 285, hkl 2 0 6
- 2θ 28.8, I = 247, hkl 1 1 0
- 2θ 23.3, I = 244, hkl 1 0 2
- 2θ 59.7, I = 235, hkl 2 2 0
- 2θ 57.4, I = 221, hkl 3 0 3
- 2θ 68.1, I = 205, hkl 3 1 3

Record 6
Diffraction record for MnSn2. The powder X-ray diffraction pattern is theoretical, not measured: it uses a structure optimized by DFT (GGA-PBE) and Cu Kα, 1.54184 Å.

Atomic structure:
```
data_MnSn2
_symmetry_space_group_name_H-M 'I 4/m c m'
_symmetry_Int_Tables_number 140
_symmetry_space_group_name_Hall '-I 4 2c'
_cell_length_a 6.6181
_cell_length_b 6.6181
_cell_length_c 5.4151
_cell_angle_alpha 90.00
_cell_angle_beta 90.00
_cell_angle_gamma 90.00
loop_
_atom_site_label
_atom_site_type_symbol
_atom_site_fract_x
_atom_site_fract_y
_atom_site_fract_z
Mn1 Mn 0.0000 0.0000 0.2500
Sn1 Sn 0.1644 0.3356 0.0000
```

The 10 most intense peaks (2θ from 10° to 90°), in order of falling intensity:
- 2θ 34.5, I = 1000, hkl 2 1 1
- 2θ 43.2, I = 492, hkl 3 1 0
- 2θ 60.1, I = 401, hkl 2 1 3
- 2θ 38.4, I = 226, hkl 1 1 2
- 2θ 80.0, I = 196, hkl 5 2 1
- 2θ 69.6, I = 176, hkl 3 3 2
- 2θ 33.1, I = 144, hkl 0 0 2
- 2θ 66.2, I = 80, hkl 4 0 2
- 2θ 85.4, I = 74, hkl 3 1 4
- 2θ 59.2, I = 59, hkl 3 3 0

Record 7
Diffraction record for MnSn5. The powder X-ray diffraction pattern is theoretical, not measured: it uses a structure optimized by DFT (GGA-PBE) and Cu Kα, 1.54184 Å.

Atomic structure:
```
data_MnSn5
_symmetry_space_group_name_H-M 'C m m m'
_symmetry_Int_Tables_number 65
_symmetry_space_group_name_Hall '-C 2 2'
_cell_length_a 3.3234
_cell_length_b 21.1100
_cell_length_c 4.5657
_cell_angle_alpha 90.00
_cell_angle_beta 90.00
_cell_angle_gamma 90.00
loop_
_atom_site_label
_atom_site_type_symbol
_atom_site_fract_x
_atom_site_fract_y
_atom_site_fract_z
Mn1 Mn 0.0000 0.0000 0.0000
Sn1 Sn 0.0000 0.1855 0.5000
Sn2 Sn 0.0000 0.3853 0.0000
Sn3 Sn 0.0000 0.5000 0.5000
```

The 10 most intense peaks (2θ from 10° to 90°), in order of falling intensity:
- 2θ 35.8, I = 1000, hkl 1 3 1
- 2θ 39.5, I = 484, hkl 0 0 2
- 2θ 25.8, I = 323, hkl 0 4 1
- 2θ 32.1, I = 264, hkl 0 6 1
- 2θ 34.3, I = 261, hkl 1 5 0
- 2θ 67.4, I = 219, hkl 1 13 1
- 2θ 70.0, I = 202, hkl 2 0 2
- 2θ 47.5, I = 201, hkl 1 9 0
- 2θ 25.3, I = 152, hkl 0 6 0
- 2θ 69.2, I = 152, hkl 1 3 3

Record 8
Diffraction record for TiMnSn4. The powder X-ray diffraction pattern is theoretical, not measured: it uses a structure optimized by DFT (GGA-PBE) and Cu Kα, 1.54184 Å.

Atomic structure:
```
data_TiMnSn4
_symmetry_space_group_name_H-M 'P 62 2 2'
_symmetry_Int_Tables_number 180
_symmetry_space_group_name_Hall 'P 62 2 (0 0 4)'
_cell_length_a 5.6283
_cell_length_b 5.6283
_cell_length_c 14.1187
_cell_angle_alpha 90.00
_cell_angle_beta 90.00
_cell_angle_gamma 120.00
loop_
_atom_site_label
_atom_site_type_symbol
_atom_site_fract_x
_atom_site_fract_y
_atom_site_fract_z
Ti1 Ti 0.0000 0.5000 0.1667
Mn1 Mn 0.0000 0.0000 0.1667
Sn1 Sn 0.0000 0.5000 0.5504
Sn2 Sn 0.1675 0.3350 0.0000
```

The 10 most intense peaks (2θ from 10° to 90°), in order of falling intensity:
- 2θ 41.7, I = 1000, hkl 2 0 3
- 2θ 36.8, I = 955, hkl 1 0 5
- 2θ 32.4, I = 934, hkl 1 1 1
- 2θ 31.3, I = 702, hkl 1 0 4
- 2θ 34.3, I = 574, hkl 1 1 2
- 2θ 60.0, I = 335, hkl 2 1 5
- 2θ 66.4, I = 333, hkl 2 2 0
- 2θ 62.1, I = 288, hkl 1 1 8
- 2θ 56.3, I = 281, hkl 2 1 4
- 2θ 75.3, I = 236, hkl 1 1 10

Record 9
Diffraction record for MnZnSn. The powder X-ray diffraction pattern is theoretical, not measured: it uses a structure optimized by DFT (GGA-PBE) and Cu Kα, 1.54184 Å.

Atomic structure:
```
data_MnZnSn
_symmetry_space_group_name_H-M 'R -3 m'
_symmetry_Int_Tables_number 166
_symmetry_space_group_name_Hall '-R 3 2"'
_cell_length_a 4.4642
_cell_length_b 4.4642
_cell_length_c 20.8543
_cell_angle_alpha 90.00
_cell_angle_beta 90.00
_cell_angle_gamma 120.00
loop_
_atom_site_label
_atom_site_type_symbol
_atom_site_fract_x
_atom_site_fract_y
_atom_site_fract_z
Mn1 Mn 0.0000 0.0000 0.2470
Zn1 Zn 0.0000 0.0000 0.1248
Sn1 Sn 0.0000 0.0000 0.3835
```

The 10 most intense peaks (2θ from 10° to 90°), in order of falling intensity:
- 2θ 40.4, I = 1000, hkl 1 1 0
- 2θ 41.8, I = 825, hkl 0 1 8
- 2θ 28.7, I = 716, hkl 1 0 4
- 2θ 74.4, I = 290, hkl 1 2 8
- 2θ 59.5, I = 283, hkl 2 0 8
- 2θ 73.5, I = 166, hkl 3 0 0
- 2θ 48.5, I = 166, hkl 1 1 6
- 2θ 25.6, I = 164, hkl 0 0 6
- 2θ 50.3, I = 160, hkl 0 2 4
- 2θ 66.4, I = 144, hkl 2 1 4

Record 10
Diffraction record for Sr5Mn. The powder X-ray diffraction pattern is theoretical, not measured: it uses a structure optimized by DFT (GGA-PBE) and Cu Kα, 1.54184 Å.

Atomic structure:
```
data_Sr5Mn
_symmetry_space_group_name_H-M 'C 1 2/m 1'
_symmetry_Int_Tables_number 12
_symmetry_space_group_name_Hall '-C 2y'
_cell_length_a 14.2217
_cell_length_b 4.1666
_cell_length_c 10.0051
_cell_angle_alpha 90.00
_cell_angle_beta 111.78
_cell_angle_gamma 90.00
loop_
_atom_site_label
_atom_site_type_symbol
_atom_site_fract_x
_atom_site_fract_y
_atom_site_fract_z
Sr1 Sr 0.0000 0.0000 0.0000
Sr2 Sr 0.1306 0.5000 0.3710
Sr3 Sr 0.1681 0.5000 0.7874
Mn1 Mn 0.0000 0.0000 0.5000
```

The 10 most intense peaks (2θ from 10° to 90°), in order of falling intensity:
- 2θ 27.9, I = 1000, hkl 1 1 -2
- 2θ 29.5, I = 995, hkl 3 1 0
- 2θ 27.3, I = 644, hkl 2 0 2
- 2θ 50.7, I = 450, hkl 5 1 2
- 2θ 26.7, I = 319, hkl 4 0 -2
- 2θ 26.9, I = 290, hkl 2 0 -3
- 2θ 41.8, I = 259, hkl 5 1 -3
- 2θ 25.0, I = 253, hkl 4 0 -1
- 2θ 52.0, I = 208, hkl 2 2 2
- 2θ 43.4, I = 200, hkl 0 2 0

Record 11
Diffraction record for Sr3Mn. The powder X-ray diffraction pattern is theoretical, not measured: it uses a structure optimized by DFT (GGA-PBE) and Cu Kα, 1.54184 Å.

Atomic structure:
```
data_Sr3Mn
_symmetry_space_group_name_H-M 'P 4/m m m'
_symmetry_Int_Tables_number 123
_symmetry_space_group_name_Hall '-P 4 2'
_cell_length_a 4.0575
_cell_length_b 4.0575
_cell_length_c 10.0620
_cell_angle_alpha 90.00
_cell_angle_beta 90.00
_cell_angle_gamma 90.00
loop_
_atom_site_label
_atom_site_type_symbol
_atom_site_fract_x
_atom_site_fract_y
_atom_site_fract_z
Sr1 Sr 0.0000 0.0000 0.0000
Sr2 Sr 0.5000 0.5000 0.3125
Mn1 Mn 0.0000 0.0000 0.5000
```

The 10 most intense peaks (2θ from 10° to 90°), in order of falling intensity:
- 2θ 28.3, I = 1000, hkl 1 0 2
- 2θ 31.2, I = 549, hkl 1 1 0
- 2θ 53.7, I = 319, hkl 2 1 2
- 2θ 23.6, I = 208, hkl 1 0 1
- 2θ 44.7, I = 198, hkl 2 0 0
- 2θ 41.4, I = 185, hkl 1 1 3
- 2θ 26.6, I = 152, hkl 0 0 3
- 2θ 34.7, I = 137, hkl 1 0 3
- 2θ 50.6, I = 103, hkl 1 0 5
- 2θ 42.3, I = 94, hkl 1 0 4

Record 12
Diffraction record for Sr5Mn3. The powder X-ray diffraction pattern is theoretical, not measured: it uses a structure optimized by DFT (GGA-PBE) and Cu Kα, 1.54184 Å.

Atomic structure:
```
data_Sr5Mn3
_symmetry_space_group_name_H-M 'P 63/m c m'
_symmetry_Int_Tables_number 193
_symmetry_space_group_name_Hall '-P 6c 2'
_cell_length_a 9.8212
_cell_length_b 9.8212
_cell_length_c 7.0464
_cell_angle_alpha 90.00
_cell_angle_beta 90.00
_cell_angle_gamma 120.00
loop_
_atom_site_label
_atom_site_type_symbol
_atom_site_fract_x
_atom_site_fract_y
_atom_site_fract_z
Sr1 Sr 0.0000 0.2523 0.2500
Sr2 Sr 0.3333 0.6667 0.0000
Mn1 Mn 0.0000 0.4080 0.7500
```

The 10 most intense peaks (2θ from 10° to 90°), in order of falling intensity:
- 2θ 30.6, I = 1000, hkl 2 1 1
- 2θ 31.2, I = 864, hkl 1 1 2
- 2θ 31.6, I = 441, hkl 3 0 0
- 2θ 27.8, I = 367, hkl 2 1 0
- 2θ 48.0, I = 275, hkl 2 1 3
- 2θ 50.1, I = 218, hkl 4 0 2
- 2θ 27.4, I = 194, hkl 1 0 2
- 2θ 45.0, I = 179, hkl 2 2 2
- 2θ 25.3, I = 145, hkl 0 0 2
- 2θ 40.3, I = 128, hkl 3 1 1

Record 13
Diffraction record for SrMn3. The powder X-ray diffraction pattern is theoretical, not measured: it uses a structure optimized by DFT (GGA-PBE) and Cu Kα, 1.54184 Å.

Atomic structure:
```
data_SrMn3
_symmetry_space_group_name_H-M 'P m m n'
_symmetry_Int_Tables_number 59
_cell_length_a 4.1669
_cell_length_b 6.6176
_cell_length_c 6.2151
_cell_angle_alpha 90.00
_cell_angle_beta 90.00
_cell_angle_gamma 90.00
loop_
_symmetry_equiv_pos_as_xyz
'x,y,z'
'-x,-y,-z'
'-x+1/2,-y+1/2,z'
'x+1/2,y+1/2,-z'
'x+1/2,-y,-z'
'-x+1/2,y,z'
'-x,y+1/2,-z'
'x,-y+1/2,z'
loop_
_atom_site_label
_atom_site_type_symbol
_atom_site_fract_x
_atom_site_fract_y
_atom_site_fract_z
Sr1 Sr 0.2500 0.2500 0.1214
Mn1 Mn 0.2500 0.0539 0.6180
Mn2 Mn 0.2500 0.7500 0.4005
```

The 10 most intense peaks (2θ from 10° to 90°), in order of falling intensity:
- 2θ 31.8, I = 1000, hkl 0 1 2
- 2θ 37.6, I = 917, hkl 1 2 1
- 2θ 49.0, I = 569, hkl 1 3 1
- 2θ 29.1, I = 529, hkl 1 1 1
- 2θ 14.3, I = 518, hkl 0 0 1
- 2θ 36.1, I = 477, hkl 1 0 2
- 2θ 43.4, I = 421, hkl 2 0 0
- 2θ 54.8, I = 397, hkl 2 1 2
- 2θ 56.9, I = 392, hkl 1 2 3
- 2θ 25.3, I = 269, hkl 1 1 0